(1)
This entry pairs a crystal structure of EuTmB12 with its theoretical powder diffractogram. Radiation: λ = 1.5418 Å (Cu Kα). Structure: the PBE geometry in Alexandria.
Intensities are scaled so that the largest is 100.

Largest 10 diffraction maxima, in order of rising 2θ, 10° ≤ 2θ ≤ 90°:
2theta, Rel. int.
21.6, 68.8
30.7, 100.0
37.8, 41.9
44.0, 21.3
49.5, 50.1
54.6, 28.5
68.3, 27.8
72.6, 19.8
76.8, 13.2
88.9, 18.5

Atomic structure:
```
EuTmB12
1.0
5.8261 0.0000 0.0000
0.0000 5.8261 0.0000
0.0000 0.0000 4.1164
Eu Tm B
1 1 12
direct
0.0000 0.0000 0.0000
0.5000 0.5000 0.0000
0.0000 0.5000 0.1998
0.0000 0.5000 0.8002
0.1502 0.3499 0.5000
0.1502 0.6501 0.5000
0.3499 0.1502 0.5000
0.3499 0.8498 0.5000
0.5000 0.0000 0.1998
0.5000 0.0000 0.8002
0.6501 0.1502 0.5000
0.6501 0.8498 0.5000
0.8498 0.3499 0.5000
0.8498 0.6501 0.5000
```


(2)
This entry pairs a crystal structure of HoMgGaCo with its theoretical powder diffractogram. Radiation: λ = 1.5418 Å (Cu Kα). Structure: the PBE geometry in Alexandria.
Intensities are scaled so that the largest is 100.

Largest 10 diffraction maxima, in order of rising 2θ, 10° ≤ 2θ ≤ 90°:
2theta, Rel. int.
23.2, 43.3
26.8, 3.3
38.3, 100.0
45.2, 22.7
55.3, 16.9
60.7, 9.6
69.2, 33.6
74.1, 7.2
82.0, 10.5
86.6, 7.5

Atomic structure:
```
HoMgGaCo
1.0
0.0000 3.3249 3.3249
3.3249 0.0000 3.3249
3.3249 3.3249 0.0000
Ho Mg Ga Co
1 1 1 1
direct
0.0000 0.0000 0.0000
0.5000 0.5000 0.5000
0.7500 0.7500 0.7500
0.2500 0.2500 0.2500
```


(3)
This entry pairs a crystal structure of KHgC3N3O3 with its theoretical powder diffractogram. Radiation: λ = 1.5418 Å (Cu Kα). Structure: the PBE geometry in Alexandria.
Intensities are scaled so that the largest is 100.

Largest 10 diffraction maxima, in order of rising 2θ, 10° ≤ 2θ ≤ 90°:
2theta, Rel. int.
12.9, 38.4
17.0, 22.6
23.7, 67.3
25.7, 48.1
27.4, 100.0
29.2, 35.6
30.1, 39.2
33.1, 36.5
39.2, 24.2
45.5, 25.4

Atomic structure:
```
KHgC3N3O3
1.0
10.5819 0.0000 0.0000
0.0000 4.1183 0.0000
0.0000 0.0000 17.9335
K Hg C N O
4 4 12 12 12
direct
0.0823 0.2500 0.1619
0.4177 0.7500 0.6619
0.5823 0.2500 0.3381
0.9177 0.7500 0.8381
0.1575 0.2500 0.5369
0.3425 0.7500 0.0369
0.6575 0.2500 0.9631
0.8425 0.7500 0.4631
0.1231 0.2500 0.9673
0.1241 0.2500 0.3724
0.1269 0.2500 0.7011
0.3731 0.7500 0.2011
0.3759 0.7500 0.8724
0.3769 0.7500 0.4673
0.6231 0.2500 0.5327
0.6241 0.2500 0.1276
0.6269 0.2500 0.7989
0.8731 0.7500 0.2989
0.8759 0.7500 0.6276
0.8769 0.7500 0.0327
0.0676 0.2500 0.4313
0.2060 0.2500 0.0135
0.2065 0.2500 0.6524
0.2935 0.7500 0.1524
0.2940 0.7500 0.5135
0.4324 0.7500 0.9313
0.5676 0.2500 0.0687
0.7060 0.2500 0.4865
0.7065 0.2500 0.8476
0.7935 0.7500 0.3476
0.7940 0.7500 0.9865
0.9324 0.7500 0.5687
0.0387 0.2500 0.9216
0.0534 0.2500 0.7520
0.1726 0.2500 0.3120
0.3274 0.7500 0.8120
0.4466 0.7500 0.2520
0.4613 0.7500 0.4216
0.5387 0.2500 0.5784
0.5534 0.2500 0.7480
0.6726 0.2500 0.1880
0.8274 0.7500 0.6880
0.9466 0.7500 0.2480
0.9613 0.7500 0.0784
```


(4)
This entry pairs a crystal structure of BaAcI2O with its theoretical powder diffractogram. Radiation: λ = 1.5418 Å (Cu Kα). Structure: the PBE geometry in Alexandria.
Intensities are scaled so that the largest is 100.

Largest 10 diffraction maxima, in order of rising 2θ, 10° ≤ 2θ ≤ 90°:
2theta, Rel. int.
17.9, 9.8
27.1, 100.0
28.7, 53.8
34.0, 18.0
41.0, 24.2
41.8, 12.5
46.9, 9.7
49.8, 37.7
59.4, 9.4
67.2, 12.7

Atomic structure:
```
BaAcI2O
1.0
4.4033 0.0000 0.0000
0.0000 4.4033 0.0000
0.0000 0.0000 19.8174
Ba Ac I O
2 2 4 2
direct
0.2500 0.2500 0.0874
0.7500 0.7500 0.9126
0.2500 0.2500 0.5608
0.7500 0.7500 0.4392
0.2500 0.2500 0.3444
0.2500 0.2500 0.8316
0.7500 0.7500 0.1684
0.7500 0.7500 0.6556
0.2500 0.7500 0.5000
0.7500 0.2500 0.5000
```


(5)
This entry pairs a crystal structure of NaHo2US6 with its theoretical powder diffractogram. Radiation: λ = 1.5418 Å (Cu Kα). Structure: the PBE geometry in Alexandria.
Intensities are scaled so that the largest is 100.

Largest 10 diffraction maxima, in order of rising 2θ, 10° ≤ 2θ ≤ 90°:
2theta, Rel. int.
15.6, 57.6
17.7, 60.6
24.3, 79.5
25.8, 95.7
29.6, 44.3
35.7, 39.0
39.1, 100.0
44.6, 38.4
45.6, 49.6
51.5, 36.0

Atomic structure:
```
NaHo2US6
1.0
3.4484 1.9910 6.1951
-3.4484 1.9910 6.1951
0.0000 -3.9819 6.1951
Na Ho U S
1 2 1 6
direct
0.0000 0.0000 0.0000
0.2841 0.2841 0.2841
0.7965 0.7965 0.7965
0.4801 0.4801 0.4801
0.0849 0.6617 0.4201
0.2117 0.5745 0.8710
0.4201 0.0849 0.6617
0.5745 0.8710 0.2117
0.6617 0.4201 0.0849
0.8710 0.2117 0.5745
```


(6)
This entry pairs a crystal structure of La5Tb3Pr3 with its theoretical powder diffractogram. Radiation: λ = 1.5418 Å (Cu Kα). Structure: the PBE geometry in Alexandria.
Intensities are scaled so that the largest is 100.

Largest 10 diffraction maxima, in order of rising 2θ, 10° ≤ 2θ ≤ 90°:
2theta, Rel. int.
29.6, 100.0
29.8, 33.0
34.4, 67.4
49.4, 32.4
49.5, 16.0
58.7, 33.7
58.8, 19.1
61.5, 8.3
80.1, 13.7
82.6, 7.3

Atomic structure:
```
La5Tb3Pr3
1.0
6.3973 0.0000 0.0000
-1.0789 8.1536 0.0000
-2.1278 -2.7444 7.4756
La Tb Pr
5 3 3
direct
0.0000 0.0000 0.0000
0.0901 0.8157 0.3636
0.4557 0.0885 0.8159
0.6366 0.7209 0.5443
0.7267 0.5440 0.9062
0.1830 0.6315 0.7240
0.3627 0.2729 0.4524
0.8187 0.3614 0.2745
0.2730 0.4516 0.0918
0.5427 0.9094 0.1806
0.9097 0.1842 0.6327
```


(7)
This entry pairs a crystal structure of Rb2InSBr6 with its theoretical powder diffractogram. Radiation: λ = 1.5418 Å (Cu Kα). Structure: the PBE geometry in Alexandria.
Intensities are scaled so that the largest is 100.

Largest 10 diffraction maxima, in order of rising 2θ, 10° ≤ 2θ ≤ 90°:
2theta, Rel. int.
13.7, 15.1
21.9, 20.6
27.6, 100.0
29.0, 52.5
33.3, 78.4
44.7, 60.8
47.8, 27.1
56.1, 25.1
56.9, 28.8
87.0, 18.7

Atomic structure:
```
Rb2InSBr6
1.0
-3.8039 3.8039 6.1592
3.8039 -3.8039 6.1592
3.8039 3.8039 -6.1592
Rb In S Br
2 1 1 6
direct
0.2500 0.7500 0.5000
0.7500 0.2500 0.5000
0.0000 0.0000 0.0000
0.5000 0.5000 0.0000
0.2219 0.2219 0.0000
0.2610 0.2610 0.5220
0.2610 0.7390 0.0000
0.7390 0.2610 0.0000
0.7390 0.7390 0.4780
0.7781 0.7781 0.0000
```


(8)
This entry pairs a crystal structure of ScCoRu3 with its theoretical powder diffractogram. Radiation: λ = 1.5418 Å (Cu Kα). Structure: the PBE geometry in Alexandria.
Intensities are scaled so that the largest is 100.

Largest 10 diffraction maxima, in order of rising 2θ, 10° ≤ 2θ ≤ 90°:
2theta, Rel. int.
20.0, 53.2
35.0, 100.0
40.7, 99.7
45.7, 24.1
58.8, 64.5
62.8, 11.4
70.3, 37.5
74.0, 21.2
77.5, 4.8
88.0, 10.2

Atomic structure:
```
ScCoRu3
1.0
4.4385 0.0000 0.0000
0.0000 4.4385 0.0000
0.0000 0.0000 4.4385
Sc Co Ru
1 1 3
direct
0.0000 0.0000 0.0000
0.5000 0.5000 0.5000
0.0000 0.5000 0.5000
0.5000 0.0000 0.5000
0.5000 0.5000 0.0000
```